Structure and simulated PXRD pattern of Er2Be2GaCo5 (the GGA-PBE geometry in Alexandria; Cu Ka).
Kinematic intensities with the Lorentz-polarization factor, no thermal factor.

Atomic structure:
```
Er2Be2GaCo5
1.0
9.056 0.000 0.000
0.000 9.056 0.000
0.000 0.000 3.139
Er Be Ga Co
4 4 2 10
Cartesian
1.619 2.909 0.000
2.909 7.437 0.000
6.148 1.619 0.000
7.437 6.148 0.000
1.065 5.594 0.000
3.463 1.065 0.000
5.594 7.991 0.000
7.991 3.463 0.000
0.000 0.000 0.000
4.528 4.528 0.000
0.000 4.528 1.570
0.584 7.096 1.570
1.960 0.584 1.570
2.568 5.112 1.570
3.944 2.568 1.570
4.528 0.000 1.570
5.112 6.488 1.570
6.488 3.944 1.570
7.096 8.472 1.570
8.472 1.960 1.570
```

Most intense lines, 10° ≤ 2θ ≤ 90°, in order of rising 2θ:
two_theta  Rel. int.
21.9  488
34.8  181
36.2  1000
40.2  385
41.1  832
42.3  241
42.7  837
44.8  186
46.3  202
58.8  191
67.3  188
74.3  278

***

Structure and simulated PXRD pattern of Hf3Pt (the GGA-PBE geometry in Alexandria; Cu Ka).
Kinematic intensities with the Lorentz-polarization factor, no thermal factor.

Atomic structure:
```
Hf3Pt
1.0
10.836 0.000 0.000
0.000 10.836 0.000
0.000 0.000 5.606
Hf Pt
24 8
Cartesian
0.443 0.443 1.401
0.443 4.975 4.204
1.066 8.127 0.000
1.673 1.673 4.204
1.673 3.744 1.401
2.709 6.484 2.803
2.709 9.770 2.803
3.744 1.673 1.401
3.744 3.744 4.204
4.352 8.127 0.000
4.975 0.443 4.204
4.975 4.975 1.401
5.861 5.861 4.204
5.861 10.393 1.401
6.484 2.709 0.000
7.091 7.091 1.401
7.091 9.162 4.204
8.127 1.066 2.803
8.127 4.352 2.803
9.162 7.091 4.204
9.162 9.162 1.401
9.770 2.709 0.000
10.393 5.861 1.401
10.393 10.393 4.204
0.507 8.127 2.803
2.709 5.925 0.000
2.709 10.328 0.000
4.911 8.127 2.803
5.925 2.709 2.803
8.127 0.507 0.000
8.127 4.911 0.000
10.328 2.709 2.803
```

Most intense lines, 10° ≤ 2θ ≤ 90°, in order of rising 2θ:
two_theta  Rel. int.
33.8  1000
34.1  833
35.1  779
37.1  567
37.8  683
39.9  913
40.6  306
42.5  426
54.0  251
61.0  366
70.0  365
77.7  287

***

Structure and simulated PXRD pattern of SrCo6Sn12 (the GGA-PBE geometry in Alexandria; Cu Ka).
Kinematic intensities with the Lorentz-polarization factor, no thermal factor.

Atomic structure:
```
SrCo6Sn12
1.0
6.147 3.549 3.030
-6.147 3.549 3.030
0.000 -7.098 3.030
Sr Co Sn
1 6 12
Cartesian
0.000 0.000 0.000
0.000 -3.001 3.727
-2.599 1.500 3.727
-2.599 -1.500 5.362
2.599 1.500 3.727
2.599 -1.500 5.362
0.000 3.001 5.362
-2.319 -4.017 4.545
-4.639 0.000 4.545
-1.598 -0.923 3.034
1.598 -0.923 3.034
0.000 1.845 3.034
2.319 -4.017 4.545
-2.319 4.017 4.545
0.000 -1.845 6.055
-1.598 0.923 6.055
1.598 0.923 6.055
4.639 0.000 4.545
2.319 4.017 4.545
```

Most intense lines, 10° ≤ 2θ ≤ 90°, in order of rising 2θ:
two_theta  Rel. int.
12.8  195
31.9  1000
33.0  526
38.2  383
39.1  539
39.2  232
43.3  214
44.2  201
47.1  461
59.7  227
61.9  181
68.5  186

***

Structure and simulated PXRD pattern of AcPu2O11 (the GGA-PBE geometry in Alexandria; Cu Ka).
Kinematic intensities with the Lorentz-polarization factor, no thermal factor.

Atomic structure:
```
AcPu2O11
1.0
-5.591 5.282 4.248
5.591 -5.282 4.248
5.591 5.282 -4.248
Ac Pu O
2 4 22
Cartesian
0.000 0.000 0.000
5.591 0.000 0.000
2.796 -2.536 2.217
2.796 2.956 1.789
2.796 7.818 -2.031
2.796 2.326 6.037
1.477 -1.268 1.689
4.114 -1.268 1.689
1.472 1.954 0.953
4.119 1.954 0.953
2.796 4.439 -1.041
4.114 6.550 -2.559
7.068 1.268 1.689
2.796 -1.990 4.370
2.796 0.843 3.208
2.796 4.856 0.151
2.796 0.426 4.399
-1.465 3.769 2.730
7.056 3.769 2.730
1.475 3.974 2.583
4.117 3.974 2.583
2.796 7.272 0.122
1.472 3.328 5.202
4.119 3.328 5.202
-1.475 6.590 2.583
1.475 1.308 6.831
1.465 6.795 2.730
-1.465 1.513 6.978
```

Most intense lines, 10° ≤ 2θ ≤ 90°, in order of rising 2θ:
two_theta  Rel. int.
13.4  362
15.9  275
20.8  422
23.2  1000
26.3  672
26.9  676
32.0  188
42.3  412
42.6  172
43.5  311
47.4  178
49.0  218

***

Structure and simulated PXRD pattern of SrHgS2 (the GGA-PBE geometry in Alexandria; Cu Ka).
Kinematic intensities with the Lorentz-polarization factor, no thermal factor.

Atomic structure:
```
SrHgS2
1.0
2.053 -7.420 0.000
2.053 7.420 0.000
0.000 0.000 6.987
Sr Hg S
2 2 4
Cartesian
2.053 5.894 3.493
2.053 -5.894 0.000
2.053 2.192 3.425
2.053 -2.192 6.919
2.053 3.430 1.367
2.053 0.415 5.025
2.053 -0.415 1.531
2.053 -3.430 4.861
```

Most intense lines, 10° ≤ 2θ ≤ 90°, in order of rising 2θ:
two_theta  Rel. int.
17.4  318
24.0  242
25.5  317
25.9  1000
27.2  239
31.1  439
35.3  455
38.4  257
39.6  350
45.2  297
50.9  217
57.7  237

***

Structure and simulated PXRD pattern of NdThSbSe (the GGA-PBE geometry in Alexandria; Cu Ka).
Kinematic intensities with the Lorentz-polarization factor, no thermal factor.

Atomic structure:
```
NdThSbSe
1.0
4.355 0.000 0.000
0.000 4.355 0.000
0.000 0.000 6.230
Nd Th Sb Se
1 1 1 1
Cartesian
0.000 0.000 0.000
2.178 2.178 3.115
2.178 2.178 0.000
0.000 0.000 3.115
```

Most intense lines, 10° ≤ 2θ ≤ 90°, in order of rising 2θ:
two_theta  Rel. int.
24.9  242
28.7  515
29.0  1000
41.2  777
41.5  382
51.2  415
60.1  128
67.4  182
67.9  178
68.1  177
75.0  135
75.5  264

***

> Which formula does entry 5 have?

SrHgS2